1.
The following is a computed PXRD pattern of Mg5PdAu6. It was derived from a GGA-PBE-relaxed structure, using Cu Kα X-rays.
Neutral-atom scattering factors, no anomalous dispersion.

Principal peaks in the range 5 to 70 degrees two-theta, by angle:
Position (°2θ)	d_spacing	Rel. int.
24.7	3.606	32
28.5	3.127	47
38.1	2.362	100
40.6	2.220	21
41.0	2.203	21
48.1	1.890	12
48.4	1.880	11
50.6	1.803	10
59.1	1.563	25
67.1	1.395	13

Structural model:
Cell lengths 7.8864, 7.8864, 7.8864 Å; angles 147.57, 125.58, 64.79 degrees
Positions (direct):
Mg1 0.0000 0.0000 0.0000
Mg2 0.1735 0.6735 0.5000
Mg3 0.3495 0.3495 0.0000
Mg4 0.6505 0.6505 0.0000
Mg5 0.8265 0.3265 0.5000
Pd1 0.5000 0.0000 0.5000
Au1 0.0727 0.8313 0.2414
Au2 0.2288 0.5000 0.7288
Au3 0.4100 0.1687 0.2414
Au4 0.5900 0.8313 0.7586
Au5 0.7712 0.5000 0.2712
Au6 0.9273 0.1687 0.7586

***

2.
The following is a computed PXRD pattern of Sm2Al4CuAu3. It was derived from a GGA-PBE-relaxed structure, using Cu Kα X-rays.
Neutral-atom scattering factors, no anomalous dispersion.

Principal peaks in the range 5 to 70 degrees two-theta, by angle:
Position (°2θ)	d_spacing	Rel. int.
25.4	3.512	25
26.6	3.346	59
29.2	3.063	30
30.4	2.941	53
32.8	2.728	78
33.9	2.648	100
41.7	2.166	72
48.0	1.895	41
54.1	1.696	38
65.4	1.426	33

Structural model:
Cell lengths 4.3319, 4.3319, 10.5357 Å; angles 90.00, 90.00, 90.00 degrees
Positions (direct):
Sm1 0.0000 0.5000 0.2439
Sm2 0.5000 0.0000 0.7561
Al1 0.0000 0.0000 0.5000
Al2 0.0000 0.5000 0.8732
Al3 0.5000 0.0000 0.1268
Al4 0.5000 0.5000 0.5000
Cu1 0.5000 0.5000 0.0000
Au1 0.0000 0.0000 0.0000
Au2 0.0000 0.5000 0.6352
Au3 0.5000 0.0000 0.3648

***

3.
The following is a computed PXRD pattern of TbHo3Ni. It was derived from a GGA-PBE-relaxed structure, using Cu Kα X-rays.
Neutral-atom scattering factors, no anomalous dispersion.

Principal peaks in the range 5 to 70 degrees two-theta, by angle:
Position (°2θ)	d_spacing	Rel. int.
28.3	3.151	21
30.5	2.935	79
32.0	2.794	100
33.3	2.691	63
34.4	2.609	31
34.7	2.585	86
44.2	2.049	18
50.3	1.813	16
57.4	1.606	18
60.5	1.530	16

Structural model:
Cell lengths 5.1733, 6.3218, 8.2210 Å; angles 85.53, 90.00, 89.96 degrees
Positions (direct):
Tb1 0.2499 0.1140 0.2294
Tb2 0.7501 0.8860 0.7706
Ho1 0.2496 0.2186 0.7457
Ho2 0.2502 0.6793 0.9787
Ho3 0.2505 0.7026 0.5544
Ho4 0.7495 0.2974 0.4456
Ho5 0.7498 0.3207 0.0213
Ho6 0.7504 0.7814 0.2543
Ni1 0.2511 0.5341 0.2825
Ni2 0.7489 0.4659 0.7175

***

4.
The following is a computed PXRD pattern of CrSiTe2N. It was derived from a GGA-PBE-relaxed structure, using Cu Kα X-rays.
Neutral-atom scattering factors, no anomalous dispersion.

Principal peaks in the range 5 to 70 degrees two-theta, by angle:
Position (°2θ)	d_spacing	Rel. int.
22.6	3.943	43
27.1	3.291	27
32.1	2.788	95
35.5	2.527	100
42.5	2.127	33
46.0	1.971	34
54.2	1.691	16
59.5	1.554	42
65.9	1.417	22
67.2	1.394	10

Structural model:
Cell lengths 5.5757, 5.5757, 3.2911 Å; angles 90.00, 90.00, 90.00 degrees
Positions (direct):
Cr1 0.0000 0.0000 0.0000
Si1 0.5000 0.5000 0.5000
Te1 0.0000 0.5000 0.5000
Te2 0.5000 0.0000 0.5000
N1 0.5000 0.5000 0.0000